Structure and simulated powder diffraction line list of DyZn2Ni9 (a DFT-relaxed cell (PBE, Alexandria); λ = 1.5418 Å (Cu Kα)).
Peak positions follow from Bragg's law for the DFT cell and can differ from measured ones.

Largest 10 diffraction maxima, in order of rising 2θ, 2θ from 10° to 90°:
Position (°2θ)	intensity
35.25	21
36.85	32
40.22	100
44.43	40
44.88	31
45.91	59
46.50	41
50.70	17
70.20	20
71.89	18

Structural model:
Cell: 8.052 8.052 4.730 Å, 90.00 90.00 90.00°
Positions (direct):
1 Dy 0.000 0.000 0.000
2 Dy 0.500 0.500 0.000
3 Zn 0.118 0.382 0.000
4 Zn 0.382 0.882 0.000
5 Zn 0.618 0.118 0.000
6 Zn 0.882 0.618 0.000
7 Ni 0.000 0.500 0.500
8 Ni 0.064 0.209 0.500
9 Ni 0.179 0.679 0.242
10 Ni 0.179 0.679 0.758
11 Ni 0.209 0.936 0.500
12 Ni 0.291 0.436 0.500
13 Ni 0.321 0.179 0.242
14 Ni 0.321 0.179 0.758
15 Ni 0.436 0.709 0.500
16 Ni 0.500 0.000 0.500
17 Ni 0.564 0.291 0.500
18 Ni 0.679 0.821 0.242
19 Ni 0.679 0.821 0.758
20 Ni 0.709 0.564 0.500
21 Ni 0.791 0.064 0.500
22 Ni 0.821 0.321 0.242
23 Ni 0.821 0.321 0.758
24 Ni 0.936 0.791 0.500